Record 1
Calculated powder diffractogram of Cs2BiPbBr6 for λ = 1.5418 Å (Cu Kα), from a crystal structure in Alexandria, relaxed with PBE.

The 10 most intense peaks (10° ≤ 2θ ≤ 80°), by angle:
2θ 14.84, I = 42; 2θ 21.04, I = 100; 2θ 25.84, I = 20; 2θ 29.82, I = 38; 2θ 29.98, I = 75; 2θ 36.91, I = 33; 2θ 42.79, I = 57; 2θ 42.92, I = 28; 2θ 53.13, I = 30; 2θ 70.63, I = 26

abc: 8.453 8.453 8.453
angles: 120.18 120.18 89.69
Fractional coordinates of all 10 atoms:
Cs1 0.250 0.750 0.500
Cs2 0.750 0.250 0.500
Bi1 0.000 0.000 0.000
Pb1 0.500 0.500 0.000
Br1 0.247 0.247 0.000
Br2 0.247 0.247 0.494
Br3 0.247 0.753 0.000
Br4 0.753 0.247 0.000
Br5 0.753 0.753 0.000
Br6 0.753 0.753 0.506


Record 2
Calculated powder diffractogram of Cs2BiWBr6 for λ = 1.5418 Å (Cu Kα), from a crystal structure in Alexandria, relaxed with PBE.

The 10 most intense peaks (10° ≤ 2θ ≤ 80°), by angle:
2θ 15.22, I = 38; 2θ 21.59, I = 47; 2θ 21.84, I = 90; 2θ 26.73, I = 29; 2θ 30.72, I = 100; 2θ 31.44, I = 48; 2θ 38.01, I = 40; 2θ 44.00, I = 35; 2θ 44.53, I = 69; 2θ 55.08, I = 35

abc: 8.140 8.140 8.140
angles: 119.26 119.26 91.30
Fractional coordinates of all 10 atoms:
Cs1 0.250 0.750 0.500
Cs2 0.750 0.250 0.500
Bi1 0.000 0.000 0.000
W1 0.500 0.500 0.000
Br1 0.267 0.267 0.000
Br2 0.274 0.274 0.547
Br3 0.274 0.726 0.000
Br4 0.726 0.274 0.000
Br5 0.726 0.726 0.453
Br6 0.733 0.733 0.000


Record 3
Calculated powder diffractogram of Cu2BiBr8 for λ = 1.5418 Å (Cu Kα), from a crystal structure in Alexandria, relaxed with PBE.

The 10 most intense peaks (10° ≤ 2θ ≤ 80°), by angle:
2θ 12.95, I = 22; 2θ 17.67, I = 100; 2θ 22.53, I = 32; 2θ 28.78, I = 72; 2θ 33.21, I = 15; 2θ 35.79, I = 41; 2θ 36.85, I = 35; 2θ 43.29, I = 19; 2θ 45.99, I = 39; 2θ 51.23, I = 23

abc: 7.894 7.894 7.391
angles: 90.00 90.00 120.00
Fractional coordinates of all 11 atoms:
Cu1 0.333 0.667 0.309
Cu2 0.667 0.333 0.691
Bi1 0.000 0.000 0.000
Br1 0.161 0.321 0.245
Br2 0.161 0.839 0.245
Br3 0.321 0.161 0.755
Br4 0.333 0.667 0.621
Br5 0.667 0.333 0.379
Br6 0.679 0.839 0.245
Br7 0.839 0.161 0.755
Br8 0.839 0.679 0.755


Record 4
Calculated powder diffractogram of CuBiBr4 for λ = 1.5418 Å (Cu Kα), from a crystal structure in Alexandria, relaxed with PBE.

The 10 most intense peaks (10° ≤ 2θ ≤ 80°), by angle:
2θ 15.80, I = 82; 2θ 25.15, I = 100; 2θ 27.72, I = 20; 2θ 31.86, I = 40; 2θ 39.23, I = 29; 2θ 39.42, I = 19; 2θ 42.83, I = 45; 2θ 47.17, I = 33; 2θ 53.33, I = 11; 2θ 73.58, I = 16

abc: 7.209 7.209 7.209
angles: 126.44 126.44 79.16
Fractional coordinates of all 6 atoms:
Cu1 0.000 0.000 0.000
Bi1 0.250 0.750 0.500
Br1 0.112 0.118 0.458
Br2 0.346 0.888 0.007
Br3 0.661 0.654 0.542
Br4 0.882 0.339 0.993


Record 5
Calculated powder diffractogram of KCuBiBr6 for λ = 1.5418 Å (Cu Kα), from a crystal structure in Alexandria, relaxed with PBE.

The 10 most intense peaks (10° ≤ 2θ ≤ 80°), by angle:
2θ 12.14, I = 100; 2θ 13.85, I = 43; 2θ 17.59, I = 32; 2θ 19.24, I = 76; 2θ 25.31, I = 71; 2θ 28.70, I = 92; 2θ 32.19, I = 38; 2θ 36.35, I = 63; 2θ 42.42, I = 44; 2θ 44.19, I = 30

abc: 7.079 7.080 7.337
angles: 93.34 93.35 114.94
Fractional coordinates of all 9 atoms:
K1 0.000 0.000 0.000
Cu1 0.679 0.317 0.502
Bi1 0.334 0.664 0.500
Br1 0.000 0.349 0.682
Br2 0.012 0.619 0.242
Br3 0.381 0.989 0.758
Br4 0.419 0.345 0.281
Br5 0.651 0.999 0.319
Br6 0.653 0.579 0.721


Record 6
Calculated powder diffractogram of Cu3BiSe2BrO8 for λ = 1.5418 Å (Cu Kα), from a crystal structure in Alexandria, relaxed with PBE.

The 10 most intense peaks (10° ≤ 2θ ≤ 80°), by angle:
2θ 15.05, I = 27; 2θ 16.49, I = 45; 2θ 25.87, I = 100; 2θ 27.75, I = 32; 2θ 29.40, I = 28; 2θ 30.36, I = 77; 2θ 30.71, I = 28; 2θ 33.33, I = 42; 2θ 35.55, I = 40; 2θ 53.18, I = 37

abc: 6.430 9.797 7.365
angles: 90.00 90.00 90.00
Fractional coordinates of all 30 atoms:
Cu1 0.000 0.000 0.000
Cu2 0.000 0.500 0.000
Cu3 0.250 0.250 0.205
Cu4 0.500 0.000 0.000
Cu5 0.500 0.500 0.000
Cu6 0.750 0.750 0.795
Bi1 0.250 0.250 0.754
Bi2 0.750 0.750 0.246
Se1 0.250 0.556 0.389
Se2 0.250 0.944 0.389
Se3 0.750 0.056 0.611
Se4 0.750 0.444 0.611
Br1 0.250 0.750 0.837
Br2 0.750 0.250 0.163
O1 0.039 0.584 0.244
O2 0.039 0.916 0.244
O3 0.250 0.114 0.008
O4 0.250 0.118 0.410
O5 0.250 0.382 0.410
O6 0.250 0.386 0.008
O7 0.461 0.584 0.244
O8 0.461 0.916 0.244
O9 0.539 0.084 0.756
O10 0.539 0.416 0.756
O11 0.750 0.614 0.992
O12 0.750 0.618 0.590
O13 0.750 0.882 0.590
O14 0.750 0.886 0.992
O15 0.961 0.084 0.756
O16 0.961 0.416 0.756


Record 7
Calculated powder diffractogram of Tl2CuBiBr6 for λ = 1.5418 Å (Cu Kα), from a crystal structure in Alexandria, relaxed with PBE.

The 10 most intense peaks (10° ≤ 2θ ≤ 80°), by angle:
2θ 22.46, I = 33; 2θ 23.14, I = 100; 2θ 23.65, I = 57; 2θ 26.68, I = 32; 2θ 31.26, I = 91; 2θ 35.27, I = 46; 2θ 35.64, I = 33; 2θ 39.50, I = 43; 2θ 40.48, I = 39; 2θ 48.38, I = 40

abc: 7.922 8.281 12.708
angles: 90.00 126.78 90.00
Fractional coordinates of all 20 atoms:
Tl1 0.223 0.077 0.247
Tl2 0.223 0.423 0.747
Tl3 0.777 0.577 0.253
Tl4 0.777 0.923 0.753
Cu1 0.500 0.000 0.000
Cu2 0.500 0.500 0.500
Bi1 0.000 0.000 0.500
Bi2 0.000 0.500 0.000
Br1 0.154 0.211 0.955
Br2 0.154 0.289 0.455
Br3 0.243 0.699 0.949
Br4 0.243 0.801 0.449
Br5 0.373 0.023 0.777
Br6 0.373 0.477 0.277
Br7 0.627 0.523 0.723
Br8 0.627 0.977 0.223
Br9 0.757 0.199 0.551
Br10 0.757 0.301 0.051
Br11 0.846 0.711 0.545
Br12 0.846 0.789 0.045


Record 8
Calculated powder diffractogram of Bi2BrF2 for λ = 1.5418 Å (Cu Kα), from a crystal structure in Alexandria, relaxed with PBE.

The 10 most intense peaks (10° ≤ 2θ ≤ 80°), by angle:
2θ 15.09, I = 97; 2θ 27.97, I = 81; 2θ 30.45, I = 100; 2θ 33.34, I = 31; 2θ 38.99, I = 18; 2θ 39.48, I = 47; 2θ 44.06, I = 36; 2θ 47.87, I = 23; 2θ 52.61, I = 22; 2θ 57.80, I = 34

abc: 7.088 7.088 7.088
angles: 115.15 115.15 98.63
Fractional coordinates of all 10 atoms:
Bi1 0.236 0.000 0.236
Bi2 0.750 0.014 0.264
Bi3 0.750 0.486 0.736
Bi4 0.764 0.000 0.764
Br1 0.279 0.779 0.500
Br2 0.529 0.529 0.000
F1 0.004 0.331 0.673
F2 0.081 0.254 0.173
F3 0.081 0.908 0.827
F4 0.658 0.331 0.327